(1)
Diffraction record for PuCdBi. The X-ray powder pattern is calculated, not measured: it uses a GGA-PBE-relaxed structure and Cu Kα (λ = 1.5418 Å).
Neutral-atom scattering factors, no anomalous dispersion.

Principal peaks in the range 2θ = 10–90°, by angle:
2θ (°)  I/Imax  (hkl)
30.34  67.2  0 0 3
31.05  67.4  0 2 0
34.54  100.0  1 1 1
34.83  97.2  1 1 -2
43.96  49.5  0 2 3
56.45  22.7  1 1 4
57.03  21.3  1 1 -5
57.51  23.3  1 3 1
57.70  22.9  1 3 -2
64.76  32.6  2 2 -1

Atomic structure:
```
PuCdBi
1.0
3.3230 0.0000 0.0000
0.0000 5.7608 0.0000
-1.5585 0.0000 8.8394
Pu Cd Bi
2 2 2
Direct
0.0894 0.0000 0.1832 Pu
0.9106 0.5000 0.8168 Pu
0.2528 0.4843 0.4891 Cd
0.7472 0.9843 0.5109 Cd
0.4227 0.9995 0.8393 Bi
0.5773 0.4995 0.1607 Bi
```

***

(2)
Diffraction record for KAcPbBr6. The X-ray powder pattern is calculated, not measured: it uses a GGA-PBE-relaxed structure and Cu Kα (λ = 1.5418 Å).
Neutral-atom scattering factors, no anomalous dispersion.

Principal peaks in the range 2θ = 10–90°, by angle:
2θ (°)  I/Imax  (hkl)
13.59  44.4  1 0 1
17.11  97.7  1 1 0
22.32  36.9  1 0 3
25.45  55.8  1 1 3
33.22  100.0  2 1 3
34.61  39.3  2 2 0
37.93  21.9  0 0 6
41.58  58.1  3 0 3
52.28  22.9  2 2 6
72.21  21.3  5 2 3

Atomic structure:
```
KAcPbBr6
1.0
7.3296 0.0000 0.0000
0.0000 7.3296 0.0000
0.0000 0.0000 14.2337
K Ac Pb Br
2 2 2 12
Direct
0.0000 0.0000 0.0000 K
0.5000 0.5000 0.5000 K
0.0000 0.0000 0.3339 Ac
0.5000 0.5000 0.8339 Ac
0.0000 0.0000 0.6680 Pb
0.5000 0.5000 0.1680 Pb
0.1849 0.1849 0.5015 Br
0.2041 0.2041 0.1794 Br
0.2056 0.2056 0.8238 Br
0.2944 0.7056 0.3238 Br
0.2959 0.7041 0.6794 Br
0.3151 0.6849 0.0015 Br
0.6849 0.3151 0.0015 Br
0.7041 0.2959 0.6794 Br
0.7056 0.2944 0.3238 Br
0.7944 0.7944 0.8238 Br
0.7959 0.7959 0.1794 Br
0.8151 0.8151 0.5015 Br
```